Entry 1:
For Rb2AgClF3, a cell relaxed with PBE gives the calculated PXRD pattern in this record (Cu Kα (λ = 1.5418 Å)).
Kinematic intensities with the Lorentz-polarization factor, no thermal factor.

```
data_Rb2AgClF3
_cell_length_a 3.688
_cell_length_b 9.841
_cell_length_c 8.152
_cell_angle_alpha 90.00
_cell_angle_beta 90.00
_cell_angle_gamma 90.00
_symmetry_space_group_name_H-M 'P 1'
_symmetry_Int_Tables_number 1
loop_
_symmetry_equiv_pos_as_xyz
'x,y,z'
loop_
_atom_site_label
_atom_site_type_symbol
_atom_site_fract_x
_atom_site_fract_y
_atom_site_fract_z
Rb1 Rb 0.000 0.216 0.000
Rb2 Rb 0.000 0.284 0.500
Rb3 Rb 0.000 0.716 0.500
Rb4 Rb 0.000 0.784 0.000
Ag1 Ag 0.500 0.000 0.282
Ag2 Ag 0.500 0.500 0.782
Cl1 Cl 0.500 0.000 0.572
Cl2 Cl 0.500 0.500 0.072
F1 F 0.500 0.000 0.022
F2 F 0.500 0.213 0.265
F3 F 0.500 0.287 0.765
F4 F 0.500 0.500 0.522
F5 F 0.500 0.713 0.765
F6 F 0.500 0.787 0.265
```

Largest 10 diffraction maxima, by angle, 2θ = 10–90°:
2θ 14.11, I 82
2θ 28.06, I 48
2θ 28.43, I 47
2θ 29.35, I 30
2θ 30.29, I 100
2θ 32.75, I 73
2θ 34.23, I 25
2θ 36.52, I 33
2θ 53.99, I 23
2θ 54.74, I 25

Entry 2:
For YEr4Lu2Co2Te2, a cell relaxed with PBE gives the calculated PXRD pattern in this record (Cu Kα (λ = 1.5418 Å)).
Kinematic intensities with the Lorentz-polarization factor, no thermal factor.

```
data_YEr4Lu2Co2Te2
_cell_length_a 9.260
_cell_length_b 9.260
_cell_length_c 9.260
_cell_angle_alpha 156.23
_cell_angle_beta 66.39
_cell_angle_gamma 119.04
_symmetry_space_group_name_H-M 'P 1'
_symmetry_Int_Tables_number 1
loop_
_symmetry_equiv_pos_as_xyz
'x,y,z'
loop_
_atom_site_label
_atom_site_type_symbol
_atom_site_fract_x
_atom_site_fract_y
_atom_site_fract_z
Y1 Y 0.000 0.000 0.000
Er1 Er 0.283 0.418 0.865
Er2 Er 0.552 0.418 0.135
Er3 Er 0.620 0.270 0.350
Er4 Er 0.920 0.270 0.650
Lu1 Lu 0.310 0.623 0.686
Lu2 Lu 0.937 0.623 0.314
Co1 Co 0.167 0.930 0.238
Co2 Co 0.692 0.930 0.762
Te1 Te 0.266 0.766 0.500
Te2 Te 0.663 0.663 0.000
```

Largest 10 diffraction maxima, by angle, 2θ = 10–90°:
2θ 25.20, I 28
2θ 29.10, I 35
2θ 30.74, I 44
2θ 33.46, I 88
2θ 34.35, I 100
2θ 34.73, I 26
2θ 34.93, I 67
2θ 38.99, I 22
2θ 47.69, I 31
2θ 59.51, I 34

Entry 3:
For ErFeNi3B, a cell relaxed with PBE gives the calculated PXRD pattern in this record (Cu Kα (λ = 1.5418 Å)).
Kinematic intensities with the Lorentz-polarization factor, no thermal factor.

```
data_ErFeNi3B
_cell_length_a 4.985
_cell_length_b 4.985
_cell_length_c 7.006
_cell_angle_alpha 90.00
_cell_angle_beta 90.00
_cell_angle_gamma 120.00
_symmetry_space_group_name_H-M 'P 1'
_symmetry_Int_Tables_number 1
loop_
_symmetry_equiv_pos_as_xyz
'x,y,z'
loop_
_atom_site_label
_atom_site_type_symbol
_atom_site_fract_x
_atom_site_fract_y
_atom_site_fract_z
Er1 Er 0.000 0.000 0.000
Er2 Er 0.000 0.000 0.500
Fe1 Fe 0.333 0.667 0.000
Fe2 Fe 0.667 0.333 0.000
Ni1 Ni 0.000 0.500 0.292
Ni2 Ni 0.000 0.500 0.708
Ni3 Ni 0.500 0.000 0.292
Ni4 Ni 0.500 0.000 0.708
Ni5 Ni 0.500 0.500 0.292
Ni6 Ni 0.500 0.500 0.708
B1 B 0.333 0.667 0.500
B2 B 0.667 0.333 0.500
```

Largest 10 diffraction maxima, by angle, 2θ = 10–90°:
2θ 20.57, I 18
2θ 32.93, I 100
2θ 36.03, I 31
2θ 41.85, I 78
2θ 44.62, I 100
2θ 62.82, I 31
2θ 65.09, I 15
2θ 69.05, I 17
2θ 70.78, I 25
2θ 76.42, I 21